Diffraction record for NaSrCrN3. The powder diffractogram is theoretical, not measured: it uses the GGA-PBE geometry in Alexandria and Cu Kα (weighted mean of Kα1 and Kα2).

Largest 10 diffraction maxima, in order of falling intensity, 2θ = 5–70°:
Position (°2θ), intensity
36.14, 1000
32.49, 757
31.53, 698
41.34, 548
34.24, 542
54.29, 441
21.99, 439
17.71, 359
33.65, 347
57.82, 237

Cell and atoms:
```
data_NaSrCrN3
_chemical_formula_sum 'Na2 Sr2 Cr2 N6'
_cell_length_a 6.071
_cell_length_b 6.071
_cell_length_c 5.374
_cell_angle_alpha 96.17
_cell_angle_beta 96.17
_cell_angle_gamma 122.68
_space_group_name_H-M_alt 'P 1'
_space_group_IT_number 1
loop_
_space_group_symop_operation_xyz
'x,y,z'
loop_
_atom_site_label
_atom_site_type_symbol
_atom_site_fract_x
_atom_site_fract_y
_atom_site_fract_z
_atom_site_occupancy
Na1 Na 0.072 0.928 0.750 1
Na2 Na 0.928 0.072 0.250 1
Sr1 Sr 0.242 0.758 0.250 1
Sr2 Sr 0.758 0.242 0.750 1
Cr1 Cr 0.456 0.544 0.750 1
Cr2 Cr 0.544 0.456 0.250 1
N1 N 0.248 0.341 0.030 1
N2 N 0.294 0.706 0.750 1
N3 N 0.341 0.248 0.530 1
N4 N 0.659 0.752 0.470 1
N5 N 0.706 0.294 0.250 1
N6 N 0.752 0.659 0.970 1
```